# 1
Simulated powder diffractogram of TiAg2Hg2 for λ = 1.5418 Å (Cu Kα), from a structure optimized by DFT (GGA-PBE).
Kinematic intensities with the Lorentz-polarization factor, no thermal factor.

Principal peaks in the range 2θ = 10–90°, by intensity:
2θ/deg, intensity
37.4, 1000
36.2, 318
35.5, 208
16.0, 203
55.7, 185
22.7, 150
47.8, 131
70.7, 125
49.3, 123
25.4, 105

Structure:
Cell: 7.8418 7.8418 3.3087 Å, 90.00 90.00 90.00°
Positions (direct):
1 Ti 0.0000 0.0000 0.0000
2 Ti 0.5000 0.5000 0.0000
3 Ag 0.1271 0.3729 0.0000
4 Ag 0.3729 0.8729 0.0000
5 Ag 0.6271 0.1271 0.0000
6 Ag 0.8729 0.6271 0.0000
7 Hg 0.1739 0.6739 0.5000
8 Hg 0.3261 0.1739 0.5000
9 Hg 0.6739 0.8261 0.5000
10 Hg 0.8261 0.3261 0.5000

# 2
Simulated powder diffractogram of BaDy2Hg2Pb2 for λ = 1.5418 Å (Cu Kα), from a structure optimized by DFT (GGA-PBE).
Kinematic intensities with the Lorentz-polarization factor, no thermal factor.

Principal peaks in the range 2θ = 10–90°, by intensity:
2θ/deg, intensity
34.6, 1000
29.4, 742
37.0, 342
46.0, 220
58.9, 213
62.0, 189
63.6, 145
54.8, 143
23.3, 138
51.6, 135

Structure:
Cell: 10.0893 10.0893 10.0893 Å, 29.76 29.76 29.76°
Positions (direct):
1 Ba 0.0000 0.0000 0.0000
2 Dy 0.1357 0.1357 0.1357
3 Dy 0.8643 0.8643 0.8643
4 Hg 0.4438 0.4438 0.4438
5 Hg 0.5562 0.5562 0.5562
6 Pb 0.2573 0.2573 0.2573
7 Pb 0.7427 0.7427 0.7427

# 3
Simulated powder diffractogram of TbSc2Ge2 for λ = 1.5418 Å (Cu Kα), from a structure optimized by DFT (GGA-PBE).
Kinematic intensities with the Lorentz-polarization factor, no thermal factor.

Principal peaks in the range 2θ = 10–90°, by intensity:
2θ/deg, intensity
32.7, 1000
32.0, 974
34.0, 927
36.0, 631
41.3, 454
29.0, 410
46.5, 402
60.2, 345
18.6, 343
47.3, 320

Structure:
Cell: 5.0213 3.9078 11.5899 Å, 90.00 96.41 90.00°
Positions (direct):
1 Tb 0.1850 0.2500 0.2426
2 Tb 0.8150 0.7500 0.7574
3 Sc 0.2474 0.7500 0.4833
4 Sc 0.3405 0.2500 0.8957
5 Sc 0.6595 0.7500 0.1043
6 Sc 0.7526 0.2500 0.5167
7 Ge 0.1558 0.7500 0.0382
8 Ge 0.2907 0.2500 0.6609
9 Ge 0.7093 0.7500 0.3391
10 Ge 0.8442 0.2500 0.9618

# 4
Simulated powder diffractogram of PmNdHo2Tm5 for λ = 1.5418 Å (Cu Kα), from a structure optimized by DFT (GGA-PBE).
Kinematic intensities with the Lorentz-polarization factor, no thermal factor.

Principal peaks in the range 2θ = 10–90°, by intensity:
2θ/deg, intensity
31.6, 1000
29.0, 551
28.7, 503
42.9, 244
37.4, 210
32.2, 177
52.7, 175
38.0, 174
57.9, 132
49.2, 131

Structure:
Cell: 9.6724 9.6724 9.6724 Å, 125.97 125.97 79.93°
Positions (direct):
1 Pm 0.2500 0.2500 0.0000
2 Pm 0.7500 0.7500 0.0000
3 Nd 0.2500 0.7500 0.5000
4 Nd 0.7500 0.2500 0.5000
5 Ho 0.1148 0.6148 0.7296
6 Ho 0.3852 0.1148 0.5000
7 Ho 0.6148 0.8852 0.5000
8 Ho 0.8852 0.3852 0.2704
9 Tm 0.0000 0.0000 0.0000
10 Tm 0.0713 0.1637 0.5000
11 Tm 0.1637 0.6637 0.0924
12 Tm 0.3363 0.4287 0.5000
13 Tm 0.4287 0.9287 0.0924
14 Tm 0.5000 0.5000 0.0000
15 Tm 0.5713 0.0713 0.9076
16 Tm 0.6637 0.5713 0.5000
17 Tm 0.8363 0.3363 0.9076
18 Tm 0.9287 0.8363 0.5000

# 5
Simulated powder diffractogram of Cd3B2O6 for λ = 1.5418 Å (Cu Kα), from a structure optimized by DFT (GGA-PBE).
Kinematic intensities with the Lorentz-polarization factor, no thermal factor.

Principal peaks in the range 2θ = 10–90°, by intensity:
2θ/deg, intensity
20.2, 1000
28.1, 949
30.4, 763
33.9, 519
32.8, 491
32.3, 468
18.7, 402
38.0, 366
30.0, 358
41.9, 344

Structure:
Cell: 3.6149 5.0518 8.4136 Å, 81.68 87.16 71.42°
Positions (direct):
1 Cd 0.0000 0.0000 0.0000
2 Cd 0.4005 0.2241 0.6423
3 Cd 0.5995 0.7759 0.3577
4 B 0.3772 0.3464 0.2473
5 B 0.6228 0.6536 0.7527
6 O 0.1642 0.6338 0.2229
7 O 0.4036 0.1629 0.1376
8 O 0.4052 0.7601 0.6113
9 O 0.5948 0.2399 0.3887
10 O 0.5964 0.8371 0.8624
11 O 0.8358 0.3662 0.7771

# 6
Simulated powder diffractogram of Sr2ErSnS5 for λ = 1.5418 Å (Cu Kα), from a structure optimized by DFT (GGA-PBE).
Kinematic intensities with the Lorentz-polarization factor, no thermal factor.

Principal peaks in the range 2θ = 10–90°, by intensity:
2θ/deg, intensity
30.6, 1000
31.9, 681
26.5, 401
26.2, 396
27.5, 358
36.8, 355
23.4, 351
43.8, 315
24.9, 307
55.2, 295

Structure:
Cell: 8.8731 8.8731 12.7189 Å, 90.00 90.00 153.05°
Positions (direct):
1 Sr 0.1092 0.8908 0.5000
2 Sr 0.1390 0.8610 0.1255
3 Sr 0.8610 0.1390 0.6255
4 Sr 0.8908 0.1092 0.0000
5 Er 0.2147 0.7853 0.8398
6 Er 0.7853 0.2147 0.3398
7 Sn 0.4649 0.5351 0.2728
8 Sn 0.5351 0.4649 0.7728
9 S 0.0561 0.9439 0.8899
10 S 0.2807 0.7193 0.4814
11 S 0.3158 0.6842 0.1990
12 S 0.3677 0.6323 0.8179
13 S 0.4916 0.5084 0.5838
14 S 0.5084 0.4916 0.0838
15 S 0.6323 0.3677 0.3179
16 S 0.6842 0.3158 0.6990
17 S 0.7193 0.2807 0.9814
18 S 0.9439 0.0561 0.3899

# 7
Simulated powder diffractogram of Pa3Zn4Pd4 for λ = 1.5418 Å (Cu Kα), from a structure optimized by DFT (GGA-PBE).
Kinematic intensities with the Lorentz-polarization factor, no thermal factor.

Principal peaks in the range 2θ = 10–90°, by intensity:
2θ/deg, intensity
36.8, 1000
40.1, 752
35.7, 569
40.3, 408
54.9, 335
72.7, 293
35.1, 244
25.3, 165
69.3, 164
18.6, 161

Structure:
Cell: 3.1860 4.4791 14.5674 Å, 98.84 96.27 90.00°
Positions (direct):
1 Pa 0.0000 0.0000 0.0000
2 Pa 0.1421 0.6413 0.2837
3 Pa 0.8579 0.3587 0.7163
4 Zn 0.2596 0.2594 0.5184
5 Zn 0.4058 0.9071 0.8129
6 Zn 0.5942 0.0929 0.1871
7 Zn 0.7404 0.7406 0.4816
8 Pd 0.3150 0.8156 0.6304
9 Pd 0.4511 0.4519 0.9027
10 Pd 0.5489 0.5481 0.0973
11 Pd 0.6850 0.1844 0.3696